The following is a theoretical X-ray diffraction stick pattern of Sr3Be2VO8. It was derived from a PBE+U-relaxed structure, using Cu Ka.
Intensities are scaled so that the largest is 100.

Structure:
```
data_Sr3Be2VO8
_cell_length_a 5.3284
_cell_length_b 5.3284
_cell_length_c 6.8853
_cell_angle_alpha 90.00
_cell_angle_beta 90.00
_cell_angle_gamma 120.00
_space_group_name_H-M_alt 'P -3 m 1'
_space_group_IT_number 164
_space_group_name_Hall '-P 3 2"'
loop_
_atom_site_label
_atom_site_type_symbol
_atom_site_fract_x
_atom_site_fract_y
_atom_site_fract_z
Sr1 Sr 0.0000 0.0000 0.0000
Sr2 Sr 0.3333 0.6667 0.6676
Be1 Be 0.3333 0.6667 0.2422
V1 V 0.0000 0.0000 0.5000
O1 O 0.1668 0.3335 0.3366
O2 O 0.3333 0.6667 0.0148
```

Main lines, by angle (2θ = 10–90°):
(1 0 1), 2θ = 23.20°, I 53
(0 1 2), 2θ = 32.45°, I 82
(1 1 0), 2θ = 33.64°, I 100
(0 0 3), 2θ = 39.25°, I 23
(0 2 1), 2θ = 41.27°, I 47
(2 0 2), 2θ = 47.43°, I 56
(1 1 3), 2θ = 52.64°, I 23
(1 2 2), 2θ = 59.41°, I 29